Starting from a cell relaxed with GGA-PBE, the powder XRD pattern of La3PrSb4 was calculated for Cu Kα (weighted mean of Kα1 and Kα2).

Structure:
abc: 9.2173 13.0340 4.6123
angles: 90.00 90.00 90.00
Space group Cmmm (No. 65)
Unique sites:
La: 0.0000 0.0000 0.0000
La: 0.2500 0.2500 0.5000
Pr: 0.0000 0.5000 0.0000
Sb: 0.0000 0.2509 0.0000
Sb: 0.2484 0.5000 0.5000

Main lines, by angle (2θ = 5–70°):
h k l, two_theta, intensity
2 2 0, 23.64, 1
2 0 1, 27.36, 100
4 0 0, 39.08, 77
4 4 0, 48.37, 28
4 0 2, 56.46, 13
6 0 1, 63.86, 36

---

Starting from a cell relaxed with GGA-PBE, the powder XRD pattern of Ce6ThRu3 was calculated for Cu Kα (weighted mean of Kα1 and Kα2).

Structure:
abc: 11.9181 12.1159 6.7842
angles: 90.00 90.00 90.00
Space group Cmc2_1 (No. 36)
Unique sites:
Ce: 0.0000 0.0686 0.0000
Ce: 0.0000 0.3123 0.2284
Ce: 0.2244 0.4986 0.7375
Ce: 0.2369 0.2302 0.9856
Th: 0.0000 0.3004 0.7326
Ru: 0.0000 0.4736 0.4739
Ru: 0.1197 0.1258 0.4812

Main lines, by angle (2θ = 5–70°):
h k l, two_theta, intensity
1 1 2, 28.33, 15
4 0 0, 29.99, 27
3 3 0, 31.59, 15
2 2 2, 33.82, 100
1 3 2, 35.37, 17
1 5 0, 37.89, 15
4 4 0, 42.56, 17
6 2 2, 55.73, 18

---

Starting from a cell relaxed with GGA-PBE, the powder XRD pattern of LaTlPt10 was calculated for Cu Kα (weighted mean of Kα1 and Kα2).

Structure:
abc: 4.4196 5.4681 9.3751
angles: 90.00 90.00 90.00
Space group Pmmm (No. 47)
Unique sites:
La: 0.0000 0.0000 0.0000
Tl: 0.0000 0.5000 0.5000
Pt: 0.0000 0.0000 0.3381
Pt: 0.0000 0.5000 0.1742
Pt: 0.5000 0.0000 0.5000
Pt: 0.5000 0.2470 0.2460
Pt: 0.5000 0.5000 0.0000

Main lines, by angle (2θ = 5–70°):
h k l, two_theta, intensity
0 1 1, 18.79, 25
0 2 2, 38.10, 29
1 2 0, 38.73, 51
1 1 3, 38.95, 100
2 0 0, 40.84, 51
1 2 2, 43.44, 49
1 0 4, 43.72, 22
1 3 3, 62.64, 25

---

Starting from a cell relaxed with GGA-PBE, the powder XRD pattern of K2AlSb2 was calculated for Cu Kα (weighted mean of Kα1 and Kα2).

Structure:
abc: 15.2711 6.2809 10.5214
angles: 90.00 127.45 90.00
Space group C2/m (No. 12)
Unique sites:
K: 0.0724 0.0000 0.2359
K: 0.2313 0.0000 0.7010
Al: 0.0982 0.5000 0.6867
Sb: 0.1141 0.5000 0.4466
Sb: 0.2220 0.0000 0.0150

Main lines, by angle (2θ = 5–70°):
h k l, two_theta, intensity
1 1 -1, 16.46, 46
2 0 -2, 16.94, 40
1 1 1, 21.49, 51
4 0 -1, 24.40, 57
0 2 0, 28.42, 81
3 1 -3, 29.28, 100
4 2 -1, 37.80, 36
5 1 0, 39.85, 35

---

Starting from a cell relaxed with GGA-PBE, the powder XRD pattern of DyBiRh3 was calculated for Cu Kα (weighted mean of Kα1 and Kα2).

Structure:
abc: 5.8673 11.5860 6.5898
angles: 90.00 90.00 90.00
Space group Imma (No. 74)
Unique sites:
Dy: 0.0000 0.2500 0.0548
Bi: 0.0000 0.0000 0.5000
Rh: 0.0000 0.2500 0.4710
Rh: 0.2500 0.1316 0.7500

Main lines, by angle (2θ = 5–70°):
h k l, two_theta, intensity
1 0 1, 20.27, 33
1 2 1, 25.49, 94
0 3 1, 26.76, 28
2 1 1, 34.34, 37
2 0 2, 41.21, 100
0 4 2, 41.51, 84
0 1 3, 41.86, 24
2 4 0, 43.94, 90

---

Starting from a cell relaxed with GGA-PBE, the powder XRD pattern of CaNd7Ho3 was calculated for Cu Kα (weighted mean of Kα1 and Kα2).

Structure:
abc: 7.2460 7.2460 8.7543
angles: 90.00 90.00 120.00
Space group P3m1 (No. 156)
Unique sites:
Ca: 0.0000 0.0000 0.0000
Nd: 0.0030 0.5015 0.9887
Nd: 0.3333 0.6667 0.3198
Nd: 0.3380 0.1690 0.3399
Ho: 0.1689 0.3378 0.6574

Main lines, by angle (2θ = 5–70°):
h k l, two_theta, intensity
0 1 1, 17.39, 13
2 0 1, 30.26, 100
0 0 3, 30.64, 32
0 2 2, 35.19, 67
2 2 0, 50.37, 24
2 0 4, 50.87, 23
0 4 1, 59.90, 14
2 2 3, 60.12, 28

---

Starting from a cell relaxed with GGA-PBE, the powder XRD pattern of NdHo5Th4 was calculated for Cu Kα (weighted mean of Kα1 and Kα2).

Structure:
abc: 11.8664 6.2510 10.1761
angles: 90.00 120.31 90.00
Space group C2 (No. 5)
Unique sites:
Nd: 0.0000 0.0000 0.0000
Ho: 0.0000 0.5383 0.0000
Ho: 0.0564 0.7714 0.3825
Ho: 0.1679 0.2623 0.6793
Th: 0.1385 0.2730 0.3218
Th: 0.2331 0.7649 0.9189

Main lines, by angle (2θ = 5–70°):
h k l, two_theta, intensity
0 2 0, 28.56, 44
1 1 2, 29.54, 35
3 1 0, 29.81, 30
0 0 3, 30.53, 39
4 0 -1, 31.05, 40
3 1 -3, 31.89, 100
2 2 -2, 34.44, 21
2 2 1, 37.73, 28

---

Starting from a cell relaxed with GGA-PBE, the powder XRD pattern of Pr3Y7Er was calculated for Cu Kα (weighted mean of Kα1 and Kα2).

Structure:
abc: 6.9730 5.5669 10.1256
angles: 90.00 108.41 90.00
Space group P2/m (No. 10)
Unique sites:
Pr: 0.0000 0.0000 0.0000
Pr: 0.2788 0.5000 0.4937
Y: 0.0000 0.0000 0.5000
Y: 0.1504 0.5000 0.7875
Y: 0.3203 0.5000 0.1328
Y: 0.4296 0.0000 0.3287
Er: 0.5000 0.0000 0.0000

Main lines, by angle (2θ = 5–70°):
h k l, two_theta, intensity
0 0 2, 18.45, 28
1 1 2, 30.76, 11
2 0 1, 31.30, 33
2 1 0, 31.46, 50
2 1 -2, 31.92, 39
0 2 0, 32.20, 100
2 2 -3, 46.14, 11
2 1 4, 56.45, 11

---

Starting from a cell relaxed with GGA-PBE, the powder XRD pattern of MgTiInRh was calculated for Cu Kα (weighted mean of Kα1 and Kα2).

Structure:
abc: 3.0791 3.0791 7.6050
angles: 90.00 90.00 90.00
Space group P4mm (No. 99)
Unique sites:
Mg: 0.0000 0.0000 0.0000
Ti: 0.0000 0.0000 0.5814
In: 0.5000 0.5000 0.3076
Rh: 0.5000 0.5000 0.7718

Main lines, by angle (2θ = 5–70°):
h k l, two_theta, intensity
0 0 1, 11.64, 13
0 0 2, 23.39, 26
1 0 0, 29.00, 28
1 0 2, 37.59, 100
1 1 0, 41.47, 42
1 1 2, 48.16, 15
2 0 0, 60.10, 13
1 1 4, 65.14, 14

---

Starting from a cell relaxed with GGA-PBE, the powder XRD pattern of Fe3NiPd4 was calculated for Cu Kα (weighted mean of Kα1 and Kα2).

Structure:
abc: 3.7288 3.8538 15.3371
angles: 90.00 90.00 90.00
Space group Immm (No. 71)
Unique sites:
Fe: 0.0000 0.0000 0.0000
Fe: 0.0000 0.5000 0.1234
Ni: 0.0000 0.0000 0.5000
Pd: 0.0000 0.0000 0.2514
Pd: 0.0000 0.5000 0.3850

Main lines, by angle (2θ = 5–70°):
h k l, two_theta, intensity
0 0 2, 11.54, 5
1 0 1, 24.57, 3
1 1 2, 35.49, 5
1 1 4, 41.09, 100
0 2 0, 47.17, 17
0 0 8, 47.42, 15
2 0 0, 48.85, 15
0 2 8, 69.12, 9

---

Starting from a cell relaxed with GGA-PBE, the powder XRD pattern of LiZrPaS4 was calculated for Cu Kα (weighted mean of Kα1 and Kα2).

Structure:
abc: 7.3930 8.1442 10.7379
angles: 90.00 90.00 90.00
Space group Imma (No. 74)
Unique sites:
Li: 0.0000 0.2500 0.1413
Zr: 0.2500 0.2500 0.7500
Pa: 0.0000 0.0000 0.5000
S: 0.0000 0.0216 0.7509
S: 0.2433 0.2500 0.5054

Main lines, by angle (2θ = 5–70°):
h k l, two_theta, intensity
0 1 1, 13.65, 26
1 0 1, 14.55, 100
1 2 1, 26.33, 51
1 0 3, 27.71, 32
2 2 0, 32.72, 58
0 0 4, 33.38, 28
1 2 3, 35.53, 23
2 2 4, 47.44, 41

---

Starting from a cell relaxed with GGA-PBE, the powder XRD pattern of BaGePbO4 was calculated for Cu Kα (weighted mean of Kα1 and Kα2).

Structure:
abc: 6.3780 5.9978 7.5811
angles: 90.00 114.09 90.00
Space group P2_1/m (No. 11)
Unique sites:
Ba: 0.2087 0.2500 0.4592
Ge: 0.2200 0.7500 0.2023
Pb: 0.3185 0.2500 0.0252
O: 0.0334 0.7500 0.9517
O: 0.0539 0.7500 0.3424
O: 0.4118 0.5157 0.2680

Main lines, by angle (2θ = 5–70°):
h k l, two_theta, intensity
1 1 0, 21.27, 72
1 0 1, 23.64, 36
1 1 -2, 28.26, 100
0 2 0, 29.79, 53
2 0 0, 30.71, 21
2 1 -1, 31.78, 29
1 1 2, 38.35, 49
0 2 2, 39.77, 23

---

Which formula does entry 6 have?
CaNd7Ho3